(1)
Structure and calculated powder diffractogram of CsHo5Se8 (a crystal structure in Alexandria, relaxed with GGA-PBE; copper Kα).

Structure:
```
data_CsHo5Se8
_space_group_name_H-M_alt 'C 1 m 1'
_space_group_IT_number 8
_space_group_name_Hall 'C -2y'
_cell_length_a 21.1724
_cell_length_b 4.1340
_cell_length_c 10.1750
_cell_angle_alpha 90.00
_cell_angle_beta 104.28
_cell_angle_gamma 90.00
loop_
_atom_site_label
_atom_site_type_symbol
_atom_site_fract_x
_atom_site_fract_y
_atom_site_fract_z
Cs1 Cs 0.0000 0.0000 0.0000
Ho1 Ho 0.0002 0.5000 0.4996
Ho2 Ho 0.1564 0.0000 0.4573
Ho3 Ho 0.2040 0.0000 0.8413
Ho4 Ho 0.2963 0.5000 0.1581
Ho5 Ho 0.3440 0.5000 0.5421
Se1 Se 0.0781 0.0000 0.6503
Se2 Se 0.0826 0.5000 0.3135
Se3 Se 0.1686 0.5000 0.9926
Se4 Se 0.2312 0.5000 0.6488
Se5 Se 0.2692 0.0000 0.3507
Se6 Se 0.3317 0.0000 0.0068
Se7 Se 0.4178 0.0000 0.6859
Se8 Se 0.4222 0.5000 0.3490
```

Peak list (12 most intense, 10° ≤ 2θ ≤ 90°, sorted by position)
10.8 deg, I 21; 17.4 deg, I 27; 18.0 deg, I 21; 27.8 deg, I 100; 29.2 deg, I 42; 33.0 deg, I 24; 34.8 deg, I 55; 35.4 deg, I 24; 39.4 deg, I 21; 39.7 deg, I 37; 43.8 deg, I 34; 44.3 deg, I 62

***

(2)
Structure and calculated powder diffractogram of Cs3HoSe3 (a crystal structure in Alexandria, relaxed with GGA-PBE; copper Kα).

Structure:
```
data_Cs3HoSe3
_space_group_name_H-M_alt 'P 1 21/c 1'
_space_group_IT_number 14
_space_group_name_Hall '-P 2ybc'
_cell_length_a 9.0176
_cell_length_b 15.0805
_cell_length_c 11.5875
_cell_angle_alpha 90.00
_cell_angle_beta 127.36
_cell_angle_gamma 90.00
loop_
_atom_site_label
_atom_site_type_symbol
_atom_site_fract_x
_atom_site_fract_y
_atom_site_fract_z
Cs1 Cs 0.1123 0.1228 0.4723
Cs2 Cs 0.1713 0.1102 0.8879
Cs3 Cs 0.3325 0.6762 0.5461
Ho1 Ho 0.4462 0.0651 0.3402
Se1 Se 0.1802 0.1906 0.1995
Se2 Se 0.3307 0.5986 0.8657
Se3 Se 0.3673 0.5440 0.2700
```

Peak list (12 most intense, 10° ≤ 2θ ≤ 90°, sorted by position)
17.1 deg, I 36; 20.1 deg, I 45; 21.3 deg, I 50; 23.6 deg, I 53; 25.5 deg, I 94; 25.7 deg, I 78; 26.4 deg, I 58; 26.6 deg, I 42; 26.9 deg, I 100; 30.9 deg, I 47; 31.1 deg, I 63; 49.8 deg, I 38

***

(3)
Structure and calculated powder diffractogram of Cs2Ho2SnSe6 (a crystal structure in Alexandria, relaxed with GGA-PBE; copper Kα).

Structure:
```
data_Cs2Ho2SnSe6
_space_group_name_H-M_alt 'C 1 2/m 1'
_space_group_IT_number 12
_space_group_name_Hall '-C 2y'
_cell_length_a 7.1425
_cell_length_b 12.3459
_cell_length_c 8.9863
_cell_angle_alpha 90.00
_cell_angle_beta 106.00
_cell_angle_gamma 90.00
loop_
_atom_site_label
_atom_site_type_symbol
_atom_site_fract_x
_atom_site_fract_y
_atom_site_fract_z
Cs1 Cs 0.0000 0.1698 0.0000
Ho1 Ho 0.0000 0.3318 0.5000
Sn1 Sn 0.0000 0.0000 0.5000
Se1 Se 0.2256 0.1604 0.6818
Se2 Se 0.2426 0.5000 0.6788
```

Peak list (12 most intense, 10° ≤ 2θ ≤ 90°, sorted by position)
10.2 deg, I 64; 20.6 deg, I 14; 28.4 deg, I 49; 28.6 deg, I 100; 35.0 deg, I 16; 37.4 deg, I 31; 37.7 deg, I 18; 43.3 deg, I 11; 44.0 deg, I 52; 53.2 deg, I 17; 55.8 deg, I 11; 71.6 deg, I 16

***

(4)
Structure and calculated powder diffractogram of Cs3Ho3TmSe8 (a crystal structure in Alexandria, relaxed with GGA-PBE; copper Kα).

Structure:
```
data_Cs3Ho3TmSe8
_space_group_name_H-M_alt 'R -3 m'
_space_group_IT_number 166
_space_group_name_Hall '-R 3 2"'
_cell_length_a 8.3183
_cell_length_b 8.3183
_cell_length_c 25.7079
_cell_angle_alpha 90.00
_cell_angle_beta 90.00
_cell_angle_gamma 120.00
loop_
_atom_site_label
_atom_site_type_symbol
_atom_site_fract_x
_atom_site_fract_y
_atom_site_fract_z
Cs1 Cs 0.0000 0.5000 0.0000
Ho1 Ho 0.0000 0.5000 0.5000
Tm1 Tm 0.0000 0.0000 0.5000
Se1 Se 0.0000 0.0000 0.2283
Se2 Se 0.0012 0.5006 0.2276
```

Peak list (12 most intense, 10° ≤ 2θ ≤ 90°, sorted by position)
10.3 deg, I 37; 20.7 deg, I 11; 25.7 deg, I 9; 28.4 deg, I 100; 34.9 deg, I 15; 37.5 deg, I 33; 43.2 deg, I 11; 43.5 deg, I 35; 52.8 deg, I 18; 56.2 deg, I 10; 70.7 deg, I 15; 81.8 deg, I 13

***

(5)
Structure and calculated powder diffractogram of CsI4 (a crystal structure in Alexandria, relaxed with GGA-PBE; copper Kα).

Structure:
```
data_CsI4
_space_group_name_H-M_alt 'P 1 21/c 1'
_space_group_IT_number 14
_space_group_name_Hall '-P 2ybc'
_cell_length_a 10.7029
_cell_length_b 9.1664
_cell_length_c 11.6124
_cell_angle_alpha 90.00
_cell_angle_beta 111.98
_cell_angle_gamma 90.00
loop_
_atom_site_label
_atom_site_type_symbol
_atom_site_fract_x
_atom_site_fract_y
_atom_site_fract_z
Cs1 Cs 0.2295 0.1235 0.3040
I1 I 0.0442 0.6427 0.9870
I2 I 0.1601 0.5316 0.4455
I3 I 0.3696 0.7050 0.3893
I4 I 0.4408 0.1101 0.6662
```

Peak list (12 most intense, 10° ≤ 2θ ≤ 90°, sorted by position)
19.1 deg, I 35; 21.5 deg, I 100; 21.7 deg, I 36; 23.6 deg, I 58; 24.4 deg, I 26; 25.0 deg, I 50; 25.6 deg, I 65; 26.9 deg, I 46; 27.4 deg, I 33; 30.2 deg, I 27; 43.2 deg, I 31; 47.6 deg, I 32

***

(6)
Structure and calculated powder diffractogram of Cs4I (a crystal structure in Alexandria, relaxed with GGA-PBE; copper Kα).

Structure:
```
data_Cs4I
_space_group_name_H-M_alt 'C 1 2/c 1'
_space_group_IT_number 15
_space_group_name_Hall '-C 2yc'
_cell_length_a 15.2088
_cell_length_b 9.7892
_cell_length_c 12.4111
_cell_angle_alpha 90.00
_cell_angle_beta 95.67
_cell_angle_gamma 90.00
loop_
_atom_site_label
_atom_site_type_symbol
_atom_site_fract_x
_atom_site_fract_y
_atom_site_fract_z
Cs1 Cs 0.0512 0.2212 0.4529
Cs2 Cs 0.1960 0.3530 0.8067
I1 I 0.0000 0.0859 0.7500
```

Peak list (12 most intense, 10° ≤ 2θ ≤ 90°, sorted by position)
10.8 deg, I 23; 18.1 deg, I 24; 19.4 deg, I 62; 19.8 deg, I 43; 20.5 deg, I 80; 23.2 deg, I 76; 23.5 deg, I 40; 23.6 deg, I 100; 26.7 deg, I 40; 31.5 deg, I 39; 32.5 deg, I 47; 35.7 deg, I 27